(1)
Calculated PXRD pattern of Ca2YIn for Cu Kα (λ = 1.5418 Å), from a PBE-relaxed structure.

Largest 12 diffraction maxima, in order of rising 2θ, 15 to 90 degrees two-theta:
- 2θ 30.2, rel. 100
- 2θ 34.1, rel. 42
- 2θ 35.4, rel. 14
- 2θ 36.7, rel. 28
- 2θ 36.9, rel. 9
- 2θ 44.5, rel. 6
- 2θ 49.0, rel. 14
- 2θ 51.1, rel. 13
- 2θ 58.7, rel. 28
- 2θ 59.0, rel. 9
- 2θ 62.8, rel. 18
- 2θ 83.5, rel. 7

Crystal structure
Cell: 3.7168 3.7168 9.7480 Å, 90.00 90.00 90.00°
Atoms (fractional coordinates):
Ca  0.0000  0.0000  0.0000
Ca  0.5000  0.5000  0.3110
Y  0.5000  0.5000  0.7166
In  0.0000  0.0000  0.5213

=====

(2)
Calculated PXRD pattern of NaCo2BHIr for Cu Kα (λ = 1.5418 Å), from a PBE-relaxed structure.

Largest 12 diffraction maxima, in order of rising 2θ, 15 to 90 degrees two-theta:
- 2θ 19.3, rel. 80
- 2θ 19.9, rel. 100
- 2θ 34.1, rel. 28
- 2θ 34.4, rel. 43
- 2θ 37.2, rel. 47
- 2θ 39.3, rel. 52
- 2θ 40.3, rel. 87
- 2θ 42.2, rel. 32
- 2θ 42.7, rel. 39
- 2θ 45.0, rel. 48
- 2θ 49.5, rel. 28
- 2θ 71.9, rel. 28

Crystal structure
Cell: 10.2462 2.7269 5.2540 Å, 90.00 119.15 90.00°
Atoms (fractional coordinates):
Na  0.0000  0.0000  0.0000
Na  0.5000  0.5000  0.0000
Co  0.2250  0.5000  0.9653
Co  0.2391  0.5000  0.4789
Co  0.7250  0.0000  0.9653
Co  0.7391  0.0000  0.4789
B  0.1376  0.0000  0.6332
B  0.6376  0.5000  0.6332
H  0.3377  0.0000  0.0722
H  0.8377  0.5000  0.0722
Ir  0.4529  0.0000  0.4535
Ir  0.9529  0.5000  0.4535

=====

(3)
Calculated PXRD pattern of CsTe2Br6 for Cu Kα (λ = 1.5418 Å), from a PBE-relaxed structure.

Largest 12 diffraction maxima, in order of rising 2θ, 15 to 90 degrees two-theta:
- 2θ 17.3, rel. 32
- 2θ 20.4, rel. 64
- 2θ 20.8, rel. 61
- 2θ 26.0, rel. 100
- 2θ 28.6, rel. 38
- 2θ 28.8, rel. 23
- 2θ 30.4, rel. 31
- 2θ 30.7, rel. 23
- 2θ 31.7, rel. 45
- 2θ 32.7, rel. 33
- 2θ 35.0, rel. 23
- 2θ 46.3, rel. 26

Crystal structure
Cell: 10.3725 10.3725 7.9048 Å, 91.38 91.38 81.85°
Atoms (fractional coordinates):
Cs  0.1743  0.8257  0.7500
Cs  0.8257  0.1743  0.2500
Te  0.1605  0.3513  0.7001
Te  0.3513  0.1605  0.2001
Te  0.6487  0.8395  0.7999
Te  0.8395  0.6487  0.2999
Br  0.1336  0.1515  0.9512
Br  0.1515  0.1336  0.4512
Br  0.1861  0.5154  0.4633
Br  0.1902  0.5115  0.9519
Br  0.4846  0.8139  0.0367
Br  0.4885  0.8098  0.5481
Br  0.5115  0.1902  0.4519
Br  0.5154  0.1861  0.9633
Br  0.8098  0.4885  0.0481
Br  0.8139  0.4846  0.5367
Br  0.8485  0.8664  0.5488
Br  0.8664  0.8485  0.0488

=====

(4)
Calculated PXRD pattern of DyCu8Ag3 for Cu Kα (λ = 1.5418 Å), from a PBE-relaxed structure.

Largest 12 diffraction maxima, in order of rising 2θ, 15 to 90 degrees two-theta:
- 2θ 30.1, rel. 10
- 2θ 35.9, rel. 51
- 2θ 39.2, rel. 86
- 2θ 41.7, rel. 14
- 2θ 42.4, rel. 100
- 2θ 43.2, rel. 67
- 2θ 44.5, rel. 11
- 2θ 66.7, rel. 33
- 2θ 69.0, rel. 22
- 2θ 72.6, rel. 27
- 2θ 76.1, rel. 23
- 2θ 89.1, rel. 16

Crystal structure
Cell: 5.0047 5.0047 8.1398 Å, 90.00 90.00 120.00°
Atoms (fractional coordinates):
Dy  0.0000  0.0000  0.0000
Cu  0.1658  0.3315  0.6819
Cu  0.1658  0.8342  0.6819
Cu  0.3333  0.6667  0.4341
Cu  0.3333  0.6667  0.9348
Cu  0.5022  0.0044  0.1913
Cu  0.5022  0.4978  0.1913
Cu  0.6685  0.8342  0.6819
Cu  0.9956  0.4978  0.1913
Ag  0.0000  0.0000  0.3827
Ag  0.6667  0.3333  0.4961
Ag  0.6667  0.3333  0.8631

=====

(5)
Calculated PXRD pattern of Rb2CrSi for Cu Kα (λ = 1.5418 Å), from a PBE-relaxed structure.

Largest 12 diffraction maxima, in order of rising 2θ, 15 to 90 degrees two-theta:
- 2θ 19.7, rel. 95
- 2θ 21.1, rel. 58
- 2θ 23.9, rel. 74
- 2θ 26.8, rel. 100
- 2θ 27.4, rel. 25
- 2θ 30.0, rel. 45
- 2θ 33.5, rel. 79
- 2θ 38.7, rel. 41
- 2θ 39.4, rel. 33
- 2θ 40.1, rel. 38
- 2θ 45.6, rel. 24
- 2θ 51.8, rel. 24

Crystal structure
Cell: 13.3243 13.3243 4.7789 Å, 90.00 90.00 90.00°
Atoms (fractional coordinates):
Rb  0.0426  0.2500  0.1250
Rb  0.2500  0.5426  0.3750
Rb  0.2500  0.9574  0.8750
Rb  0.4574  0.2500  0.6250
Rb  0.5426  0.7500  0.6250
Rb  0.7500  0.0426  0.8750
Rb  0.7500  0.4574  0.3750
Rb  0.9574  0.7500  0.1250
Cr  0.0000  0.0000  0.0000
Cr  0.0000  0.5000  0.2500
Cr  0.5000  0.0000  0.7500
Cr  0.5000  0.5000  0.5000
Si  0.0000  0.0000  0.5000
Si  0.0000  0.5000  0.7500
Si  0.5000  0.0000  0.2500
Si  0.5000  0.5000  0.0000

=====

(6)
Calculated PXRD pattern of Tb2Mg2Co for Cu Kα (λ = 1.5418 Å), from a PBE-relaxed structure.

Largest 12 diffraction maxima, in order of rising 2θ, 15 to 90 degrees two-theta:
- 2θ 15.4, rel. 78
- 2θ 24.1, rel. 65
- 2θ 25.8, rel. 70
- 2θ 31.4, rel. 100
- 2θ 34.1, rel. 92
- 2θ 34.4, rel. 22
- 2θ 35.4, rel. 48
- 2θ 39.3, rel. 32
- 2θ 41.7, rel. 22
- 2θ 42.2, rel. 27
- 2θ 47.4, rel. 42
- 2θ 59.3, rel. 23

Crystal structure
Cell: 7.6814 7.6814 5.7263 Å, 109.37 109.37 115.50°
Atoms (fractional coordinates):
Tb  0.0033  0.3288  0.1557
Tb  0.3288  0.0033  0.6557
Tb  0.6712  0.9967  0.3443
Tb  0.9967  0.6712  0.8443
Mg  0.2508  0.3997  0.7933
Mg  0.3997  0.2508  0.2933
Mg  0.6003  0.7492  0.7067
Mg  0.7492  0.6003  0.2067
Co  0.0013  0.9987  0.7500
Co  0.9987  0.0013  0.2500

=====

(7)
Calculated PXRD pattern of Nd3InPd for Cu Kα (λ = 1.5418 Å), from a PBE-relaxed structure.

Largest 12 diffraction maxima, in order of rising 2θ, 15 to 90 degrees two-theta:
- 2θ 29.0, rel. 61
- 2θ 29.7, rel. 58
- 2θ 30.4, rel. 54
- 2θ 30.7, rel. 100
- 2θ 31.0, rel. 55
- 2θ 31.8, rel. 38
- 2θ 33.4, rel. 63
- 2θ 33.9, rel. 78
- 2θ 34.7, rel. 67
- 2θ 35.1, rel. 70
- 2θ 36.1, rel. 44
- 2θ 40.2, rel. 36

Crystal structure
Cell: 5.9214 6.2544 8.4151 Å, 78.23 87.57 71.79°
Atoms (fractional coordinates):
Nd  0.0000  0.0000  0.0000
Nd  0.0188  0.6870  0.4115
Nd  0.3228  0.0352  0.6111
Nd  0.3960  0.1984  0.1751
Nd  0.6374  0.6441  0.0115
Nd  0.6690  0.4225  0.6718
In  0.1536  0.4983  0.8260
In  0.8517  0.2468  0.3425
Pd  0.4968  0.6980  0.3386
Pd  0.8330  0.9297  0.6815

=====

(8)
Calculated PXRD pattern of SrMoCl6 for Cu Kα (λ = 1.5418 Å), from a PBE-relaxed structure.

Largest 12 diffraction maxima, in order of rising 2θ, 15 to 90 degrees two-theta:
- 2θ 18.3, rel. 100
- 2θ 25.1, rel. 45
- 2θ 30.8, rel. 45
- 2θ 32.8, rel. 22
- 2θ 37.1, rel. 12
- 2θ 40.5, rel. 56
- 2θ 42.9, rel. 29
- 2θ 46.5, rel. 21
- 2θ 47.6, rel. 26
- 2θ 59.0, rel. 20
- 2θ 64.2, rel. 11
- 2θ 83.7, rel. 10

Crystal structure
Cell: 7.1440 7.1440 7.1440 Å, 55.19 55.19 55.19°
Atoms (fractional coordinates):
Sr  0.0000  0.0000  0.0000
Mo  0.5000  0.5000  0.5000
Cl  0.1159  0.7083  0.4479
Cl  0.2917  0.5521  0.8841
Cl  0.4479  0.1159  0.7083
Cl  0.5521  0.8841  0.2917
Cl  0.7083  0.4479  0.1159
Cl  0.8841  0.2917  0.5521

=====

(9)
Calculated PXRD pattern of MgCr2I for Cu Kα (λ = 1.5418 Å), from a PBE-relaxed structure.

Largest 12 diffraction maxima, in order of rising 2θ, 15 to 90 degrees two-theta:
- 2θ 21.7, rel. 36
- 2θ 25.2, rel. 3
- 2θ 35.9, rel. 100
- 2θ 42.3, rel. 18
- 2θ 51.6, rel. 17
- 2θ 56.7, rel. 8
- 2θ 58.3, rel. 2
- 2θ 64.5, rel. 33
- 2θ 68.9, rel. 6
- 2θ 76.0, rel. 10
- 2θ 80.2, rel. 6
- 2θ 87.1, rel. 14

Crystal structure
Cell: 7.0797 7.0797 7.0797 Å, 90.00 90.00 90.00°
Atoms (fractional coordinates):
Mg  0.0000  0.0000  0.0000
Mg  0.0000  0.5000  0.5000
Mg  0.5000  0.0000  0.5000
Mg  0.5000  0.5000  0.0000
Cr  0.2500  0.2500  0.2500
Cr  0.2500  0.2500  0.7500
Cr  0.2500  0.7500  0.2500
Cr  0.2500  0.7500  0.7500
Cr  0.7500  0.2500  0.2500
Cr  0.7500  0.2500  0.7500
Cr  0.7500  0.7500  0.2500
Cr  0.7500  0.7500  0.7500
I  0.0000  0.0000  0.5000
I  0.0000  0.5000  0.0000
I  0.5000  0.0000  0.0000
I  0.5000  0.5000  0.5000

=====

(10)
Calculated PXRD pattern of Tm4IrAu for Cu Kα (λ = 1.5418 Å), from a PBE-relaxed structure.

Largest 12 diffraction maxima, in order of rising 2θ, 15 to 90 degrees two-theta:
- 2θ 22.0, rel. 65
- 2θ 22.7, rel. 59
- 2θ 28.7, rel. 96
- 2θ 29.2, rel. 100
- 2θ 29.5, rel. 62
- 2θ 32.1, rel. 42
- 2θ 36.8, rel. 56
- 2θ 37.1, rel. 55
- 2θ 43.1, rel. 54
- 2θ 43.7, rel. 50
- 2θ 49.2, rel. 43
- 2θ 50.2, rel. 53

Crystal structure
Cell: 6.9815 6.8433 6.8666 Å, 90.00 92.63 90.00°
Atoms (fractional coordinates):
Tm  0.1536  0.1634  0.1783
Tm  0.1536  0.3366  0.6783
Tm  0.3246  0.6592  0.1492
Tm  0.3246  0.8408  0.6492
Tm  0.6754  0.1592  0.3508
Tm  0.6754  0.3408  0.8508
Tm  0.8464  0.6634  0.3217
Tm  0.8464  0.8366  0.8217
Ir  0.0000  0.0000  0.5000
Ir  0.0000  0.5000  0.0000
Au  0.5000  0.0000  0.0000
Au  0.5000  0.5000  0.5000

=====

(11)
Calculated PXRD pattern of K2NdBe2S4 for Cu Kα (λ = 1.5418 Å), from a PBE-relaxed structure.

Largest 12 diffraction maxima, in order of rising 2θ, 15 to 90 degrees two-theta:
- 2θ 21.7, rel. 27
- 2θ 23.7, rel. 21
- 2θ 24.9, rel. 31
- 2θ 26.4, rel. 23
- 2θ 30.2, rel. 21
- 2θ 32.7, rel. 100
- 2θ 33.5, rel. 37
- 2θ 36.6, rel. 22
- 2θ 38.6, rel. 48
- 2θ 44.6, rel. 21
- 2θ 49.2, rel. 22
- 2θ 55.3, rel. 24

Crystal structure
Cell: 7.7484 7.7484 8.2483 Å, 114.91 114.91 27.64°
Atoms (fractional coordinates):
K  0.1245  0.1245  0.0622
K  0.8755  0.8755  0.9378
Nd  0.0000  0.0000  0.5000
Be  0.3284  0.3284  0.5330
Be  0.6716  0.6716  0.4670
S  0.2123  0.2123  0.6323
S  0.4695  0.4695  0.7402
S  0.5305  0.5305  0.2598
S  0.7877  0.7877  0.3677

=====

(12)
Calculated PXRD pattern of CoReGeSb2 for Cu Kα (λ = 1.5418 Å), from a PBE-relaxed structure.

Largest 12 diffraction maxima, in order of rising 2θ, 15 to 90 degrees two-theta:
- 2θ 27.1, rel. 35
- 2θ 32.1, rel. 100
- 2θ 34.4, rel. 78
- 2θ 42.6, rel. 21
- 2θ 44.3, rel. 19
- 2θ 49.4, rel. 28
- 2θ 55.8, rel. 38
- 2θ 60.1, rel. 33
- 2θ 67.2, rel. 22
- 2θ 71.4, rel. 10
- 2θ 82.7, rel. 12
- 2θ 87.8, rel. 11

Crystal structure
Cell: 5.2207 5.2207 4.2458 Å, 90.00 90.00 90.00°
Atoms (fractional coordinates):
Co  0.0000  0.0000  0.0000
Re  0.5000  0.5000  0.0000
Ge  0.0000  0.0000  0.5000
Sb  0.0000  0.5000  0.5000
Sb  0.5000  0.0000  0.5000

=====

(13)
Calculated PXRD pattern of Rb2SnCl4 for Cu Kα (λ = 1.5418 Å), from a PBE-relaxed structure.

Largest 12 diffraction maxima, in order of rising 2θ, 15 to 90 degrees two-theta:
- 2θ 16.0, rel. 61
- 2θ 19.1, rel. 38
- 2θ 23.0, rel. 42
- 2θ 23.6, rel. 86
- 2θ 25.4, rel. 92
- 2θ 25.8, rel. 58
- 2θ 28.2, rel. 59
- 2θ 29.1, rel. 100
- 2θ 36.2, rel. 44
- 2θ 39.0, rel. 39
- 2θ 40.5, rel. 40
- 2θ 48.2, rel. 39

Crystal structure
Cell: 7.9614 7.0125 9.5902 Å, 90.00 110.86 90.00°
Atoms (fractional coordinates):
Rb  0.0754  0.2500  0.4138
Rb  0.2627  0.7500  0.0627
Rb  0.7373  0.2500  0.9373
Rb  0.9246  0.7500  0.5862
Sn  0.4780  0.7500  0.6319
Sn  0.5220  0.2500  0.3681
Cl  0.1702  0.7500  0.3789
Cl  0.1976  0.2500  0.1160
Cl  0.3364  0.0001  0.7436
Cl  0.3364  0.4999  0.7436
Cl  0.6636  0.9999  0.2564
Cl  0.6636  0.5001  0.2564
Cl  0.8024  0.7500  0.8840
Cl  0.8298  0.2500  0.6211

=====

(14)
Calculated PXRD pattern of LiPu2CuRh2 for Cu Kα (λ = 1.5418 Å), from a PBE-relaxed structure.

Largest 12 diffraction maxima, in order of rising 2θ, 15 to 90 degrees two-theta:
- 2θ 23.8, rel. 45
- 2θ 26.1, rel. 40
- 2θ 32.9, rel. 62
- 2θ 33.0, rel. 61
- 2θ 33.4, rel. 100
- 2θ 35.0, rel. 32
- 2θ 36.0, rel. 45
- 2θ 41.0, rel. 45
- 2θ 41.1, rel. 44
- 2θ 47.3, rel. 70
- 2θ 60.8, rel. 40
- 2θ 67.0, rel. 36

Crystal structure
Cell: 8.4207 8.4207 8.4207 Å, 142.23 54.33 142.43°
Atoms (fractional coordinates):
Li  0.2500  0.2500  0.0000
Li  0.7500  0.7500  0.0000
Pu  0.1693  0.7477  0.9170
Pu  0.3307  0.2477  0.5784
Pu  0.6693  0.7523  0.4216
Pu  0.8307  0.2523  0.0830
Cu  0.2500  0.7500  0.5000
Cu  0.7500  0.2500  0.5000
Rh  0.1300  0.2494  0.3794
Rh  0.3700  0.7494  0.1194
Rh  0.6300  0.2506  0.8806
Rh  0.8700  0.7506  0.6206